No. 1
Structure and simulated powder diffractogram of Dy4Cl4O3 (a crystal structure in OQMD, relaxed with GGA-PBE; Cu Kα X-rays).

Largest 6 diffraction maxima, low angle first, 10° ≤ 2θ ≤ 80°:
2theta  I (rel.)
11.51  64
26.54  58
33.46  100
33.95  50
49.57  19
60.39  18

Atomic structure:
Lattice parameters (Å, degrees): 3.7282 7.4797 7.6871 90.00 90.00 90.00
Positions (direct):
Dy 0.0000 0.0000 0.0000
Dy 0.0000 0.5000 0.0104
Dy 0.5000 0.2479 0.3179
Dy 0.5000 0.7521 0.3179
Cl 0.0000 0.0000 0.4978
Cl 0.0000 0.5000 0.5026
Cl 0.5000 0.2517 0.8217
Cl 0.5000 0.7483 0.8217
O 0.0000 0.2397 0.1616
O 0.0000 0.7603 0.1616
O 0.5000 0.5000 0.1629

No. 2
Structure and simulated powder diffractogram of Nd2DyMg3Tl2Cd (a crystal structure in OQMD, relaxed with GGA-PBE; Cu Kα X-rays).

Largest 6 diffraction maxima, low angle first, 10° ≤ 2θ ≤ 80°:
2theta  I (rel.)
23.32  49
30.18  92
32.99  100
33.23  57
38.28  44
40.67  43

Atomic structure:
Lattice parameters (Å, degrees): 4.7023 7.6260 7.6260 119.30 90.00 90.00
Positions (direct):
Nd 0.0000 0.2114 0.7886
Nd 0.0000 0.7886 0.2114
Dy 0.0000 0.6347 0.6347
Mg 0.5000 0.2136 0.4529
Mg 0.5000 0.4529 0.2136
Mg 0.5000 0.9756 0.9756
Tl 0.5000 0.5478 0.8745
Tl 0.5000 0.8745 0.5478
Cd 0.0000 0.2209 0.2209